Simulated powder diffraction line list of BiTeBr for CuKα, from a structure optimized by DFT (PBE).
Lines closer than 0.1° are merged.

The 12 most intense peaks (2θ from 15° to 90°), sorted by position:
(1 0 0), 23.6°, rel. 10; (0 1 1), 26.9°, rel. 100; (1 0 2), 35.2°, rel. 63; (1 1 0), 41.4°, rel. 35; (1 1 1), 43.5°, rel. 15; (1 0 3), 46.1°, rel. 21; (2 0 1), 50.1°, rel. 18; (0 2 2), 55.5°, rel. 17; (1 1 3), 58.3°, rel. 9; (1 2 1), 67.0°, rel. 16; (1 1 4), 69.4°, rel. 15; (2 1 2), 71.6°, rel. 16

Structural model:
a b c (Å): 4.3579 4.3579 6.9143
angles (deg): 90.00 90.00 120.00
Space group P3m1 (No. 156)
Symmetry-distinct sites (fractional):
Bi (0.0000, 0.0000, 0.0000) [1 per cell]
Te (0.3333, 0.6667, 0.2518) [1 per cell]
Br (0.6667, 0.3333, 0.7325) [1 per cell]

---

Simulated powder diffraction line list of Tm4CrS7 for CuKα, from a structure optimized by DFT (PBE).
Lines closer than 0.1° are merged.

The 12 most intense peaks (2θ from 15° to 90°), sorted by position:
(2 0 2), 25.0°, rel. 100; (2 0 -3), 25.2°, rel. 100; (1 1 -1), 25.5°, rel. 37; (1 1 -2), 28.7°, rel. 49; (4 0 -1), 29.0°, rel. 49; (3 1 -1), 32.4°, rel. 51; (3 1 0), 32.9°, rel. 51; (3 1 -2), 34.0°, rel. 57; (3 1 1), 35.4°, rel. 62; (1 1 4), 43.4°, rel. 47; (0 2 0), 48.5°, rel. 40; (2 2 -3), 55.3°, rel. 47

Structural model:
a b c (Å): 12.3368 3.7570 11.2636
angles (deg): 90.00 105.51 90.00
Space group Cm (No. 8)
Symmetry-distinct sites (fractional):
Tm (0.0000, 0.0000, 0.0000) [2 per cell]
Tm (0.0810, 0.5000, 0.3578) [2 per cell]
Tm (0.1956, 0.5000, 0.8008) [2 per cell]
Tm (0.3875, 0.0000, 0.5967) [2 per cell]
Cr (0.3091, 0.5000, 0.2181) [2 per cell]
S (0.0348, 0.0000, 0.7419) [2 per cell]
S (0.1626, 0.5000, 0.0237) [2 per cell]
S (0.2011, 0.0000, 0.2889) [2 per cell]
S (0.2301, 0.5000, 0.5787) [2 per cell]
S (0.3574, 0.0000, 0.8459) [2 per cell]
S (0.4231, 0.0000, 0.1464) [2 per cell]
S (0.4467, 0.5000, 0.4276) [2 per cell]

---

Simulated powder diffraction line list of KBi for CuKα, from a structure optimized by DFT (PBE).
Lines closer than 0.1° are merged.

The 12 most intense peaks (2θ from 15° to 90°), sorted by position:
(2 0 -2), 15.0°, rel. 37; (2 1 -1), 17.2°, rel. 90; (0 1 2), 18.5°, rel. 100; (2 1 -2), 19.2°, rel. 53; (2 1 1), 21.1°, rel. 59; (2 0 -4), 26.1°, rel. 45; (4 0 0), 26.7°, rel. 63; (2 1 -4), 28.8°, rel. 62; (2 2 1), 29.7°, rel. 45; (0 2 3), 32.2°, rel. 39; (4 2 -3), 36.2°, rel. 54; (2 2 3), 38.2°, rel. 37

Structural model:
a b c (Å): 14.5661 7.4158 13.7215
angles (deg): 90.00 113.38 90.00
Space group P2_1/c (No. 14)
Symmetry-distinct sites (fractional):
K (0.1047, 0.1987, 0.4609) [4 per cell]
K (0.1538, 0.5722, 0.6918) [4 per cell]
K (0.3488, 0.6395, 0.0540) [4 per cell]
K (0.3799, 0.1178, 0.8527) [4 per cell]
Bi (0.0785, 0.7027, 0.3870) [4 per cell]
Bi (0.1070, 0.0643, 0.7267) [4 per cell]
Bi (0.3895, 0.1281, 0.1291) [4 per cell]
Bi (0.4262, 0.6289, 0.8168) [4 per cell]